Entry 1:
Simulated powder diffractogram of K5SnBi3 for Cu Kα (weighted mean of Kα1 and Kα2), from a structure optimized by DFT (PBE).

Principal peaks in the range 2θ from 15° to 90°, in order of rising 2θ:
h k l, two_theta, I_rel
1 0 -4, 18.21, 60
0 2 0, 19.82, 58
2 1 -2, 19.94, 64
1 1 2, 20.73, 41
1 1 -4, 20.77, 30
1 2 -4, 27.04, 100
3 0 0, 30.70, 37
3 0 -6, 30.76, 35
0 0 6, 32.35, 61
2 3 -2, 34.76, 31
1 3 2, 35.24, 38
3 2 0, 36.84, 33

Cell and atoms:
Cell lengths 10.2599, 8.9581, 19.5041 Å; angles 90.00, 121.63, 90.00 degrees
Space group P2_1/c (No. 14)
One atom of each set of equivalent atoms:
K: 0.0496 0.0033 0.2435
K: 0.2406 0.5181 0.5761
K: 0.3361 0.6609 0.2607
K: 0.3441 0.1832 0.9218
K: 0.3765 0.0017 0.5867
Sn: 0.0152 0.1465 0.5881
Bi: 0.0143 0.1915 0.4331
Bi: 0.2627 0.7353 0.4189
Bi: 0.3118 0.2395 0.7300

---

Entry 2:
Simulated powder diffractogram of MoCl2 for Cu Kα (weighted mean of Kα1 and Kα2), from a structure optimized by DFT (PBE).

Principal peaks in the range 2θ from 15° to 90°, in order of rising 2θ:
h k l, two_theta, I_rel
0 0 2, 15.33, 100
3 1 2, 24.92, 31
2 4 0, 33.30, 48
3 1 4, 36.85, 32
4 4 0, 39.57, 33
1 5 2, 42.61, 37
2 2 5, 43.93, 39
7 1 1, 44.26, 37
8 0 0, 49.24, 27
0 6 2, 49.89, 29
5 1 5, 50.72, 25
1 7 3, 61.40, 27

Cell and atoms:
Cell lengths 14.8017, 11.5555, 11.5643 Å; angles 90.00, 90.00, 90.00 degrees
Space group Cmce (No. 64)
One atom of each set of equivalent atoms:
Mo: 0.0000 0.0661 0.1461
Mo: 0.0000 0.1462 0.9340
Mo: 0.1258 0.0000 0.0000
Cl: 0.0000 0.1524 0.3474
Cl: 0.1185 0.0770 0.7987
Cl: 0.1185 0.2015 0.0769
Cl: 0.2129 0.0000 0.5000

---

Entry 3:
Simulated powder diffractogram of SbPCl6O2 for Cu Kα (weighted mean of Kα1 and Kα2), from a structure optimized by DFT (PBE).

Principal peaks in the range 2θ from 15° to 90°, in order of rising 2θ:
h k l, two_theta, I_rel
0 0 2, 16.46, 86
0 2 1, 16.86, 58
1 1 1, 16.97, 99
2 0 0, 21.05, 67
0 2 2, 22.13, 80
1 1 2, 23.46, 57
1 1 -3, 24.75, 100
2 1 1, 26.10, 82
2 2 -2, 26.72, 58
2 2 1, 29.14, 67
2 3 0, 30.77, 53
2 0 -4, 33.22, 61

Cell and atoms:
Cell lengths 8.9159, 12.0549, 11.3770 Å; angles 90.00, 108.79, 90.00 degrees
Space group P2_1/c (No. 14)
One atom of each set of equivalent atoms:
Sb: 0.1907 0.0386 0.2295
P: 0.1901 0.5941 0.4585
Cl: 0.0418 0.6259 0.7149
Cl: 0.1398 0.0976 0.4105
Cl: 0.2823 0.7373 0.5351
Cl: 0.3117 0.2061 0.2052
Cl: 0.3152 0.5522 0.3484
Cl: 0.4348 0.5503 0.8302
O: 0.0187 0.6190 0.3817
O: 0.2174 0.5024 0.5551

---

Entry 4:
Simulated powder diffractogram of Na2Sn for Cu Kα (weighted mean of Kα1 and Kα2), from a structure optimized by DFT (PBE).

Principal peaks in the range 2θ from 15° to 90°, in order of rising 2θ:
h k l, two_theta, I_rel
2 1 1, 16.35, 62
0 0 4, 18.85, 28
2 1 3, 21.13, 100
4 0 0, 28.19, 48
1 1 6, 30.18, 30
3 3 2, 31.45, 33
4 1 3, 32.46, 34
4 0 4, 34.13, 40
3 1 6, 36.37, 58
2 1 7, 37.01, 28
5 2 3, 40.99, 41
3 3 6, 41.77, 26

Cell and atoms:
Cell lengths 12.6613, 12.6613, 18.8289 Å; angles 90.00, 90.00, 90.00 degrees
Space group I4_1/acd (No. 142, origin choice 2)
One atom of each set of equivalent atoms:
Na: 0.0135 0.0611 0.1194
Na: 0.1029 0.1426 0.7919
Sn: 0.1492 0.0946 0.9664

---

Entry 5:
Simulated powder diffractogram of Mg6Si5 for Cu Kα (weighted mean of Kα1 and Kα2), from a structure optimized by DFT (PBE).

Principal peaks in the range 2θ from 15° to 90°, in order of rising 2θ:
h k l, two_theta, I_rel
1 2 3, 36.82, 70
0 2 -3, 37.10, 100
2 0 1, 37.54, 92
1 0 -5, 37.68, 99
2 1 0, 38.55, 13
-1 2 2, 39.19, 77
1 0 6, 41.72, 58
2 2 -2, 48.63, 29
0 2 8, 58.47, 14
2 -2 4, 58.67, 19
3 0 -4, 65.03, 15
-2 2 7, 70.41, 20

Cell and atoms:
Cell lengths 4.8653, 6.0027, 14.2382 Å; angles 84.84, 86.35, 82.58 degrees
Space group P1 (No. 1)
One atom of each set of equivalent atoms:
Mg: 0.0000 0.0000 0.0000
Mg: 0.0006 0.5029 0.9845
Mg: 0.1816 0.4600 0.6378
Mg: 0.3041 0.2072 0.4672
Mg: 0.4151 0.9591 0.2965
Mg: 0.4532 0.1497 0.1000
Mg: 0.4784 0.6434 0.1010
Mg: 0.5839 0.0776 0.7362
Mg: 0.6382 0.5721 0.7630
Mg: 0.6595 0.7736 0.5499
Mg: 0.9023 0.2956 0.2120
Mg: 0.9492 0.7898 0.2043
Si: 0.0731 0.2576 0.8225
Si: 0.0967 0.8318 0.8246
Si: 0.1015 0.9266 0.6494
Si: 0.1974 0.6830 0.4390
Si: 0.3504 0.4834 0.2922
Si: 0.5310 0.2647 0.9131
Si: 0.5448 0.8430 0.9174
Si: 0.7635 0.2771 0.5585
Si: 0.7868 0.5014 0.3867
Si: 0.8690 0.0367 0.3939

---

Entry 6:
Simulated powder diffractogram of BaEu2CuO5 for Cu Kα (weighted mean of Kα1 and Kα2), from a structure optimized by DFT (PBE).

Principal peaks in the range 2θ from 15° to 90°, in order of rising 2θ:
h k l, two_theta, I_rel
3 1 1, 28.99, 100
1 1 2, 29.29, 64
0 2 0, 30.81, 47
4 0 1, 31.08, 23
2 0 3, 38.89, 14
0 1 3, 39.31, 13
1 2 2, 39.98, 13
4 2 1, 44.32, 30
3 2 2, 45.16, 17
3 3 1, 53.66, 17
1 3 2, 53.84, 13
7 1 2, 59.65, 14

Cell and atoms:
Cell lengths 12.4710, 5.8051, 7.4819 Å; angles 90.00, 90.00, 90.00 degrees
Space group Pnma (No. 62)
One atom of each set of equivalent atoms:
Ba: 0.0949 0.2500 0.0689
Eu: 0.0730 0.7500 0.3908
Eu: 0.2138 0.2500 0.6140
Cu: 0.1610 0.7500 0.7811
O: 0.0686 0.5182 0.6739
O: 0.0972 0.7500 0.0781
O: 0.2327 0.0132 0.3505

---

Entry 7:
Simulated powder diffractogram of ErSnPt for Cu Kα (weighted mean of Kα1 and Kα2), from a structure optimized by DFT (PBE).

Principal peaks in the range 2θ from 15° to 90°, in order of rising 2θ:
h k l, two_theta, I_rel
1 1 0, 23.70, 13
1 1 1, 32.77, 82
2 0 1, 35.63, 100
2 1 0, 36.57, 33
3 0 0, 41.68, 46
2 1 1, 43.25, 37
0 0 2, 45.49, 27
2 1 2, 59.73, 16
3 0 2, 63.39, 27
3 2 1, 66.99, 34
3 1 2, 70.42, 13
5 0 1, 77.16, 11

Cell and atoms:
Cell lengths 7.5070, 7.5070, 3.9875 Å; angles 90.00, 90.00, 120.00 degrees
Space group P-62m (No. 189)
One atom of each set of equivalent atoms:
Er: 0.0000 0.4076 0.0000
Sn: 0.0000 0.7419 0.5000
Pt: 0.0000 0.0000 0.0000
Pt: 0.3333 0.6667 0.5000

---

Entry 8:
Simulated powder diffractogram of Pr3Ge13Ir4 for Cu Kα (weighted mean of Kα1 and Kα2), from a structure optimized by DFT (PBE).

Principal peaks in the range 2θ from 15° to 90°, in order of rising 2θ:
h k l, two_theta, I_rel
2 0 0, 19.38, 55
2 2 0, 27.54, 30
2 2 2, 33.90, 54
3 2 0, 35.33, 100
3 2 1, 36.71, 39
4 0 0, 39.34, 58
4 2 0, 44.22, 44
4 2 2, 48.70, 60
4 4 0, 56.86, 22
5 3 2, 62.50, 15
6 2 2, 67.87, 39
6 4 2, 78.07, 15

Cell and atoms:
Cell lengths 9.1604, 9.1604, 9.1604 Å; angles 90.00, 90.00, 90.00 degrees
Space group Pm-3n (No. 223)
One atom of each set of equivalent atoms:
Pr: 0.0000 0.2500 0.5000
Ge: 0.0000 0.0000 0.0000
Ge: 0.0000 0.3036 0.1454
Ir: 0.2500 0.2500 0.2500

---

Please write out number 6 again, unchanged.
Simulated powder diffractogram of BaEu2CuO5 for Cu Kα (weighted mean of Kα1 and Kα2), from a structure optimized by DFT (PBE).

Principal peaks in the range 2θ from 15° to 90°, in order of rising 2θ:
h k l, two_theta, I_rel
3 1 1, 28.99, 100
1 1 2, 29.29, 64
0 2 0, 30.81, 47
4 0 1, 31.08, 23
2 0 3, 38.89, 14
0 1 3, 39.31, 13
1 2 2, 39.98, 13
4 2 1, 44.32, 30
3 2 2, 45.16, 17
3 3 1, 53.66, 17
1 3 2, 53.84, 13
7 1 2, 59.65, 14

Cell and atoms:
Cell lengths 12.4710, 5.8051, 7.4819 Å; angles 90.00, 90.00, 90.00 degrees
Space group Pnma (No. 62)
One atom of each set of equivalent atoms:
Ba: 0.0949 0.2500 0.0689
Eu: 0.0730 0.7500 0.3908
Eu: 0.2138 0.2500 0.6140
Cu: 0.1610 0.7500 0.7811
O: 0.0686 0.5182 0.6739
O: 0.0972 0.7500 0.0781
O: 0.2327 0.0132 0.3505

---

What is the formula in the fourth record?
Na2Sn